# Sm2YTe2
Computed powder XRD pattern, Cu Kα, 1.54184 Å. Input: the PBE geometry in Alexandria.
Neutral-atom scattering factors, no anomalous dispersion.

Peak list (10 most intense, 15° ≤ 2θ ≤ 90°, by angle)
- 20.98 deg, rel. 14, (2 0 1)
- 29.20 deg, rel. 100, (0 2 0)
- 30.81 deg, rel. 29, (2 0 2)
- 31.13 deg, rel. 18, (3 1 1)
- 36.26 deg, rel. 13, (2 2 1)
- 41.77 deg, rel. 36, (4 2 -2)
- 42.96 deg, rel. 44, (2 2 2)
- 52.79 deg, rel. 23, (6 2 0)
- 60.57 deg, rel. 14, (0 4 0)
- 68.62 deg, rel. 13, (4 4 -2)

Cell and atoms:
a b c (Å): 13.5287 6.1163 8.4404
angles (deg): 90.00 111.14 90.00
Space group C2/m (No. 12)
One atom of each set of equivalent atoms:
Sm  0.0314  0.0000  0.2938 (multiplicity 4)
Sm  0.1798  0.5000  0.1397 (multiplicity 4)
Y  0.1807  0.5000  0.5686 (multiplicity 4)
Te  0.0194  0.5000  0.7543 (multiplicity 4)
Te  0.1622  0.0000  0.0580 (multiplicity 4)